Theoretical powder XRD pattern
Compound: LiGeMoO4
Radiation: Cu Kα X-rays
Structure: the GGA+U geometry in Alexandria

Most intense lines, 10 to 80 degrees two-theta, sorted by position:
Position (°2θ), intensity
18.45, 28
20.14, 20
23.02, 47
24.41, 28
31.18, 44
33.30, 100
34.29, 70
47.04, 28
56.85, 19
60.13, 37

Structural model:
```
data_LiGeMoO4
_chemical_formula_sum 'Li2 Ge2 Mo2 O8'
_space_group_name_H-M_alt 'P 1'
_space_group_IT_number 1
_space_group_name_Hall 'P 1'
_cell_length_a 5.2590
_cell_length_b 5.2590
_cell_length_c 6.4922
_cell_angle_alpha 90.00
_cell_angle_beta 90.00
_cell_angle_gamma 113.90
loop_
_atom_site_label
_atom_site_fract_x
_atom_site_fract_y
_atom_site_fract_z
Li1 0.1613 0.8387 0.7500
Li2 0.8387 0.1613 0.2500
Ge1 0.1537 0.8463 0.2500
Ge2 0.8463 0.1537 0.7500
Mo1 0.5000 0.5000 0.0000
Mo2 0.5000 0.5000 0.5000
O1 0.2240 0.2595 0.7500
O2 0.2575 0.7425 0.0216
O3 0.2575 0.7425 0.4784
O4 0.2595 0.2240 0.2500
O5 0.7405 0.7760 0.7500
O6 0.7425 0.2575 0.5216
O7 0.7425 0.2575 0.9784
O8 0.7760 0.7405 0.2500
```